Entry 1:
For BaLa2W2, the GGA-PBE geometry in Alexandria gives the simulated X-ray powder pattern in this record (a wavelength of 1.5418 Å).
Peak positions follow from Bragg's law for the DFT cell and can differ from measured ones.

Crystal structure
a b c (Å): 3.7533 3.7533 23.7845
angles (deg): 90.00 90.00 90.00
Space group I4/mmm (No. 139)
Symmetry-distinct sites (fractional):
Ba 0.0000 0.0000 0.0000 [2 per cell]
La 0.0000 0.0000 0.3578 [4 per cell]
W 0.0000 0.5000 0.2500 [4 per cell]

Largest 8 diffraction maxima, low angle first, 2θ from 10° to 90°:
- hkl 0 0 4, 14.90 deg, d = 5.946 Å, rel. 39
- hkl 1 0 3, 26.27 deg, d = 3.392 Å, rel. 100
- hkl 0 0 8, 30.06 deg, d = 2.973 Å, rel. 56
- hkl 1 1 2, 34.63 deg, d = 2.590 Å, rel. 65
- hkl 1 1 4, 37.10 deg, d = 2.424 Å, rel. 65
- hkl 1 1 6, 40.92 deg, d = 2.205 Å, rel. 94
- hkl 2 0 0, 48.54 deg, d = 1.876 Å, rel. 58
- hkl 2 0 8, 58.12 deg, d = 1.587 Å, rel. 42



Entry 2:
For BaLaY4, the GGA-PBE geometry in Alexandria gives the simulated X-ray powder pattern in this record (a wavelength of 1.5418 Å).
Peak positions follow from Bragg's law for the DFT cell and can differ from measured ones.

Crystal structure
a b c (Å): 9.7947 9.7947 9.7947
angles (deg): 90.00 90.00 90.00
Space group F-43m (No. 216)
Symmetry-distinct sites (fractional):
Ba 0.0000 0.0000 0.0000 [4 per cell]
La 0.2500 0.2500 0.7500 [4 per cell]
Y 0.1213 0.1213 0.3787 [16 per cell]

Largest 8 diffraction maxima, low angle first, 2θ from 10° to 90°:
- hkl 2 2 0, 25.73 deg, d = 3.463 Å, rel. 40
- hkl 3 1 1, 30.26 deg, d = 2.953 Å, rel. 100
- hkl 2 2 2, 31.64 deg, d = 2.827 Å, rel. 28
- hkl 4 2 2, 45.36 deg, d = 1.999 Å, rel. 17
- hkl 3 3 3, 48.28 deg, d = 1.885 Å, rel. 36
- hkl 4 4 0, 52.88 deg, d = 1.731 Å, rel. 29
- hkl 5 3 3, 62.15 deg, d = 1.494 Å, rel. 12
- hkl 7 3 1, 74.40 deg, d = 1.275 Å, rel. 22



Entry 3:
For BaLa4Zn5, the GGA-PBE geometry in Alexandria gives the simulated X-ray powder pattern in this record (a wavelength of 1.5418 Å).
Peak positions follow from Bragg's law for the DFT cell and can differ from measured ones.

Crystal structure
a b c (Å): 3.8206 3.8206 19.1556
angles (deg): 90.00 90.00 90.00
Space group P4/mmm (No. 123)
Symmetry-distinct sites (fractional):
Ba 0.0000 0.0000 0.0000 [1 per cell]
La 0.0000 0.0000 0.2112 [2 per cell]
La 0.0000 0.0000 0.4030 [2 per cell]
Zn 0.5000 0.5000 0.1201 [2 per cell]
Zn 0.5000 0.5000 0.3067 [2 per cell]
Zn 0.5000 0.5000 0.5000 [1 per cell]

Largest 8 diffraction maxima, low angle first, 2θ from 10° to 90°:
- hkl 0 0 5, 23.26 deg, d = 3.824 Å, rel. 13
- hkl 1 1 0, 33.13 deg, d = 2.704 Å, rel. 100
- hkl 0 0 10, 47.46 deg, d = 1.916 Å, rel. 4
- hkl 2 0 0, 47.60 deg, d = 1.910 Å, rel. 13
- hkl 1 0 10, 53.56 deg, d = 1.711 Å, rel. 4
- hkl 2 1 5, 59.19 deg, d = 1.561 Å, rel. 33
- hkl 2 0 10, 69.49 deg, d = 1.353 Å, rel. 5
- hkl 3 1 0, 79.28 deg, d = 1.208 Å, rel. 10



Entry 4:
For BaLi12, the GGA-PBE geometry in Alexandria gives the simulated X-ray powder pattern in this record (a wavelength of 1.5418 Å).
Peak positions follow from Bragg's law for the DFT cell and can differ from measured ones.

Crystal structure
a b c (Å): 10.3547 10.3547 5.8414
angles (deg): 90.00 90.00 90.00
Space group I4/mmm (No. 139)
Symmetry-distinct sites (fractional):
Ba 0.0000 0.0000 0.0000 [2 per cell]
Li 0.0000 0.2357 0.5000 [8 per cell]
Li 0.0000 0.3641 0.0000 [8 per cell]
Li 0.2500 0.2500 0.2500 [8 per cell]

Largest 8 diffraction maxima, low angle first, 2θ from 10° to 90°:
- hkl 1 1 0, 12.09 deg, d = 7.322 Å, rel. 100
- hkl 2 0 0, 17.13 deg, d = 5.177 Å, rel. 47
- hkl 1 0 1, 17.43 deg, d = 5.088 Å, rel. 97
- hkl 2 1 1, 24.53 deg, d = 3.629 Å, rel. 100
- hkl 3 1 0, 27.23 deg, d = 3.274 Å, rel. 38
- hkl 3 0 1, 30.07 deg, d = 2.972 Å, rel. 35
- hkl 3 2 1, 34.81 deg, d = 2.577 Å, rel. 52
- hkl 2 0 2, 35.28 deg, d = 2.544 Å, rel. 29



Entry 5:
For BaLi2, the GGA-PBE geometry in Alexandria gives the simulated X-ray powder pattern in this record (a wavelength of 1.5418 Å).
Peak positions follow from Bragg's law for the DFT cell and can differ from measured ones.

Crystal structure
a b c (Å): 5.8916 5.8916 12.2673
angles (deg): 90.00 90.00 90.00
Space group I4/mcm (No. 140)
Symmetry-distinct sites (fractional):
Ba 0.0000 0.0000 0.2500 [4 per cell]
Li 0.1704 0.3296 0.0000 [8 per cell]

Largest 8 diffraction maxima, low angle first, 2θ from 10° to 90°:
- hkl 0 0 2, 14.44 deg, d = 6.134 Å, rel. 78
- hkl 1 1 0, 21.33 deg, d = 4.166 Å, rel. 74
- hkl 1 1 2, 25.85 deg, d = 3.446 Å, rel. 100
- hkl 2 0 0, 30.34 deg, d = 2.946 Å, rel. 29
- hkl 2 0 2, 33.75 deg, d = 2.655 Å, rel. 52
- hkl 1 1 4, 36.38 deg, d = 2.470 Å, rel. 38
- hkl 2 0 4, 42.55 deg, d = 2.124 Å, rel. 23
- hkl 3 1 2, 51.25 deg, d = 1.783 Å, rel. 27



Entry 6:
For BaLi11, the GGA-PBE geometry in Alexandria gives the simulated X-ray powder pattern in this record (a wavelength of 1.5418 Å).
Peak positions follow from Bragg's law for the DFT cell and can differ from measured ones.

Crystal structure
a b c (Å): 12.0678 12.0678 8.0969
angles (deg): 90.00 90.00 90.00
Space group I4_1/amd (No. 141, origin choice 2)
Symmetry-distinct sites (fractional):
Ba 0.0000 0.2500 0.3750 [4 per cell]
Li 0.0000 0.0000 0.0000 [8 per cell]
Li 0.0000 0.2500 0.8750 [4 per cell]
Li 0.1253 0.0443 0.6880 [32 per cell]

Largest 8 diffraction maxima, low angle first, 2θ from 10° to 90°:
- hkl 1 0 1, 13.17 deg, d = 6.724 Å, rel. 100
- hkl 2 0 0, 14.68 deg, d = 6.034 Å, rel. 78
- hkl 2 1 1, 19.77 deg, d = 4.491 Å, rel. 93
- hkl 2 2 0, 20.82 deg, d = 4.267 Å, rel. 41
- hkl 1 1 2, 24.33 deg, d = 3.658 Å, rel. 60
- hkl 3 2 1, 28.86 deg, d = 3.093 Å, rel. 45
- hkl 3 1 2, 32.24 deg, d = 2.777 Å, rel. 74
- hkl 4 2 0, 33.20 deg, d = 2.698 Å, rel. 37